No. 1
For SmRh2F8, DFT lattice parameters and positions (GGA-PBE) gives the calculated powder X-ray diffraction pattern in this record (Cu Ka).
No peak broadening, texture or thermal motion is included.

Structural model:
Cell lengths 6.2328, 6.2328, 4.4166 Å; angles 92.44, 92.44, 72.98 degrees
Positions (direct):
1 Sm 0.0000 0.0000 0.0000
2 Rh 0.3848 0.3848 0.7426
3 Rh 0.6152 0.6152 0.2574
4 F 0.1192 0.6647 0.7468
5 F 0.1843 0.1843 0.7323
6 F 0.3353 0.8808 0.2532
7 F 0.4081 0.4081 0.2457
8 F 0.5919 0.5919 0.7543
9 F 0.6647 0.1192 0.7468
10 F 0.8157 0.8157 0.2677
11 F 0.8808 0.3353 0.2532

Most intense lines, 10° ≤ 2θ ≤ 80°, by angle:
d 5.004, 2θ 17.7, I 43
d 3.706, 2θ 24.0, I 85
d 3.492, 2θ 25.5, I 100
d 3.399, 2θ 26.2, I 72
d 3.042, 2θ 29.4, I 41
d 2.505, 2θ 35.9, I 28
d 2.449, 2θ 36.7, I 29
d 2.096, 2θ 43.2, I 29
d 2.090, 2θ 43.3, I 30
d 1.932, 2θ 47.0, I 32



No. 2
For Zn11Rh2, DFT lattice parameters and positions (GGA-PBE) gives the calculated powder X-ray diffraction pattern in this record (Cu Ka).
No peak broadening, texture or thermal motion is included.

Structural model:
Cell lengths 7.9007, 7.9007, 7.9007 Å; angles 109.47, 109.47, 109.47 degrees
Positions (direct):
1 Zn 0.0000 0.0000 0.7868
2 Zn 0.0000 0.2655 0.6496
3 Zn 0.0000 0.3560 0.3560
4 Zn 0.0000 0.6440 0.6440
5 Zn 0.0000 0.6496 0.2655
6 Zn 0.0000 0.7868 0.0000
7 Zn 0.2132 0.2132 0.2132
8 Zn 0.2655 0.0000 0.6496
9 Zn 0.2655 0.6496 0.0000
10 Zn 0.3504 0.3504 0.6159
11 Zn 0.3504 0.6159 0.3504
12 Zn 0.3560 0.0000 0.3560
13 Zn 0.3560 0.3560 0.0000
14 Zn 0.3841 0.7345 0.7345
15 Zn 0.6159 0.3504 0.3504
16 Zn 0.6440 0.0000 0.6440
17 Zn 0.6440 0.6440 0.0000
18 Zn 0.6496 0.0000 0.2655
19 Zn 0.6496 0.2655 0.0000
20 Zn 0.7345 0.3841 0.7345
21 Zn 0.7345 0.7345 0.3841
22 Zn 0.7868 0.0000 0.0000
23 Rh 0.0000 0.0000 0.3453
24 Rh 0.0000 0.3453 0.0000
25 Rh 0.3453 0.0000 0.0000
26 Rh 0.6547 0.6547 0.6547

Most intense lines, 10° ≤ 2θ ≤ 80°, by angle:
d 3.724, 2θ 23.9, I 5
d 2.634, 2θ 34.0, I 3
d 2.150, 2θ 42.0, I 100
d 1.945, 2θ 46.7, I 6
d 1.862, 2θ 48.9, I 5
d 1.520, 2θ 60.9, I 9
d 1.345, 2θ 69.9, I 3
d 1.317, 2θ 71.7, I 6
d 1.290, 2θ 73.4, I 4
d 1.241, 2θ 76.8, I 18



No. 3
For BaU2Cu2S6, DFT lattice parameters and positions (GGA-PBE) gives the calculated powder X-ray diffraction pattern in this record (Cu Ka).
No peak broadening, texture or thermal motion is included.

Structural model:
Cell lengths 7.2008, 7.3652, 7.4018 Å; angles 90.98, 118.46, 118.93 degrees
Positions (direct):
1 Ba 0.0000 0.0000 0.0000
2 U 0.3442 0.6704 0.0161
3 U 0.6558 0.3296 0.9839
4 Cu 0.1354 0.6811 0.4316
5 Cu 0.8646 0.3189 0.5684
6 S 0.1454 0.4497 0.2385
7 S 0.2122 0.3067 0.7617
8 S 0.4591 0.9146 0.7629
9 S 0.5409 0.0854 0.2371
10 S 0.7878 0.6933 0.2383
11 S 0.8546 0.5503 0.7615

Most intense lines, 10° ≤ 2θ ≤ 80°, by angle:
d 6.161, 2θ 14.4, I 76
d 5.948, 2θ 14.9, I 26
d 3.681, 2θ 24.2, I 26
d 3.600, 2θ 24.7, I 32
d 3.155, 2θ 28.3, I 100
d 3.127, 2θ 28.5, I 27
d 3.085, 2θ 28.9, I 26
d 2.363, 2θ 38.1, I 32
d 2.357, 2θ 38.2, I 22
d 2.090, 2θ 43.3, I 17



No. 4
For TbYMgTi, DFT lattice parameters and positions (GGA-PBE) gives the calculated powder X-ray diffraction pattern in this record (Cu Ka).
No peak broadening, texture or thermal motion is included.

Structural model:
Cell lengths 7.4519, 7.4519, 7.4519 Å; angles 90.00, 90.00, 90.00 degrees
Positions (direct):
1 Tb 0.0000 0.0000 0.0000
2 Tb 0.0000 0.5000 0.5000
3 Tb 0.5000 0.0000 0.5000
4 Tb 0.5000 0.5000 0.0000
5 Y 0.0000 0.0000 0.5000
6 Y 0.0000 0.5000 0.0000
7 Y 0.5000 0.0000 0.0000
8 Y 0.5000 0.5000 0.5000
9 Mg 0.2500 0.2500 0.2500
10 Mg 0.2500 0.7500 0.7500
11 Mg 0.7500 0.2500 0.7500
12 Mg 0.7500 0.7500 0.2500
13 Ti 0.2500 0.2500 0.7500
14 Ti 0.2500 0.7500 0.2500
15 Ti 0.7500 0.2500 0.2500
16 Ti 0.7500 0.7500 0.7500

Most intense lines, 10° ≤ 2θ ≤ 80°, by angle:
d 4.302, 2θ 20.6, I 11
d 3.726, 2θ 23.9, I 36
d 2.635, 2θ 34.0, I 100
d 2.247, 2θ 40.1, I 6
d 2.151, 2θ 42.0, I 11
d 1.863, 2θ 48.9, I 18
d 1.666, 2θ 55.1, I 15
d 1.521, 2θ 60.9, I 36
d 1.317, 2θ 71.6, I 11
d 1.242, 2θ 76.7, I 7



No. 5
For Ce5Bi2H4, DFT lattice parameters and positions (GGA-PBE) gives the calculated powder X-ray diffraction pattern in this record (Cu Ka).
No peak broadening, texture or thermal motion is included.

Structural model:
Cell lengths 8.4149, 7.3595, 6.1355 Å; angles 76.56, 58.28, 45.17 degrees
Positions (direct):
1 Ce 0.0000 0.0000 0.0000
2 Ce 0.0000 0.0000 0.5000
3 Ce 0.2500 0.2500 0.2500
4 Ce 0.5000 0.5000 0.0000
5 Ce 0.7500 0.7500 0.7500
6 Bi 0.3643 0.3643 0.6357
7 Bi 0.6357 0.6357 0.3643
8 H 0.0537 0.7006 0.2994
9 H 0.2994 0.9463 0.0537
10 H 0.7006 0.0537 0.9463
11 H 0.9463 0.2994 0.7006

Most intense lines, 10° ≤ 2θ ≤ 80°, by angle:
d 3.439, 2θ 25.9, I 67
d 2.790, 2θ 32.1, I 56
d 2.751, 2θ 32.5, I 100
d 2.605, 2θ 34.4, I 43
d 2.514, 2θ 35.7, I 30
d 2.313, 2θ 38.9, I 34
d 1.730, 2θ 52.9, I 28
d 1.531, 2θ 60.5, I 17
d 1.416, 2θ 66.0, I 24
d 1.401, 2θ 66.8, I 14



No. 6
For RbBaAu4, DFT lattice parameters and positions (GGA-PBE) gives the calculated powder X-ray diffraction pattern in this record (Cu Ka).
No peak broadening, texture or thermal motion is included.

Structural model:
Cell lengths 4.8127, 8.4376, 8.9130 Å; angles 90.00, 90.00, 90.00 degrees
Positions (direct):
1 Rb 0.0000 0.0000 0.0000
2 Rb 0.5000 0.5000 0.5000
3 Ba 0.0000 0.0000 0.5000
4 Ba 0.5000 0.5000 0.0000
5 Au 0.0000 0.3342 0.2398
6 Au 0.0000 0.3342 0.7602
7 Au 0.0000 0.6658 0.2398
8 Au 0.0000 0.6658 0.7602
9 Au 0.5000 0.1658 0.2602
10 Au 0.5000 0.1658 0.7398
11 Au 0.5000 0.8342 0.2602
12 Au 0.5000 0.8342 0.7398

Most intense lines, 10° ≤ 2θ ≤ 80°, by angle:
d 4.457, 2θ 19.9, I 52
d 3.064, 2θ 29.1, I 49
d 3.049, 2θ 29.3, I 100
d 2.428, 2θ 37.0, I 73
d 2.406, 2θ 37.4, I 36
d 2.228, 2θ 40.5, I 27
d 2.132, 2θ 42.4, I 32
d 1.892, 2θ 48.1, I 25
d 1.642, 2θ 56.0, I 42
d 1.635, 2θ 56.3, I 21



No. 7
For ErNb2Ru, DFT lattice parameters and positions (GGA-PBE) gives the calculated powder X-ray diffraction pattern in this record (Cu Ka).
No peak broadening, texture or thermal motion is included.

Structural model:
Cell lengths 2.9556, 2.9556, 31.1415 Å; angles 90.00, 90.00, 120.00 degrees
Positions (direct):
1 Er 0.0000 0.0000 0.0000
2 Er 0.3333 0.6667 0.6667
3 Er 0.6667 0.3333 0.3333
4 Nb 0.0000 0.0000 0.0970
5 Nb 0.0000 0.0000 0.9030
6 Nb 0.3333 0.6667 0.5696
7 Nb 0.3333 0.6667 0.7637
8 Nb 0.6667 0.3333 0.2363
9 Nb 0.6667 0.3333 0.4304
10 Ru 0.0000 0.0000 0.5000
11 Ru 0.3333 0.6667 0.1667
12 Ru 0.6667 0.3333 0.8333

Most intense lines, 10° ≤ 2θ ≤ 80°, by angle:
d 3.460, 2θ 25.7, I 27
d 2.595, 2θ 34.6, I 43
d 2.551, 2θ 35.2, I 44
d 2.526, 2θ 35.5, I 100
d 2.139, 2θ 42.3, I 50
d 1.977, 2θ 45.9, I 90
d 1.899, 2θ 47.9, I 21
d 1.478, 2θ 62.9, I 35
d 1.330, 2θ 70.8, I 23
d 1.284, 2θ 73.8, I 28



No. 8
For CaSm2GeN4, DFT lattice parameters and positions (GGA-PBE) gives the calculated powder X-ray diffraction pattern in this record (Cu Ka).
No peak broadening, texture or thermal motion is included.

Structural model:
Cell lengths 6.2456, 6.2456, 12.0476 Å; angles 90.00, 90.00, 147.92 degrees
Positions (direct):
1 Ca 0.1006 0.8994 0.7500
2 Ca 0.8994 0.1006 0.2500
3 Sm 0.3697 0.6303 0.5390
4 Sm 0.3697 0.6303 0.9610
5 Sm 0.6303 0.3697 0.0390
6 Sm 0.6303 0.3697 0.4610
7 Ge 0.1744 0.8256 0.2500
8 Ge 0.8256 0.1744 0.7500
9 N 0.0000 0.0000 0.0000
10 N 0.0000 0.0000 0.5000
11 N 0.2649 0.7351 0.1265
12 N 0.2649 0.7351 0.3735
13 N 0.4203 0.5797 0.7500
14 N 0.5797 0.4203 0.2500
15 N 0.7351 0.2649 0.6265
16 N 0.7351 0.2649 0.8735

Most intense lines, 10° ≤ 2θ ≤ 80°, by angle:
d 6.021, 2θ 14.7, I 62
d 5.373, 2θ 16.5, I 42
d 3.338, 2θ 26.7, I 35
d 3.012, 2θ 29.7, I 41
d 3.001, 2θ 29.8, I 51
d 2.906, 2θ 30.8, I 97
d 2.556, 2θ 35.1, I 55
d 2.398, 2θ 37.5, I 100
d 2.236, 2θ 40.3, I 44
d 1.770, 2θ 51.6, I 45



No. 9
For Nd4Sm3Tm8, DFT lattice parameters and positions (GGA-PBE) gives the calculated powder X-ray diffraction pattern in this record (Cu Ka).
No peak broadening, texture or thermal motion is included.

Structural model:
Cell lengths 9.2813, 9.2813, 6.7358 Å; angles 111.22, 111.22, 87.65 degrees
Positions (direct):
1 Nd 0.0000 0.0000 0.0000
2 Nd 0.0000 0.0000 0.5000
3 Nd 0.0000 0.5000 0.0000
4 Nd 0.5000 0.0000 0.0000
5 Sm 0.0000 0.5000 0.5000
6 Sm 0.5000 0.0000 0.5000
7 Sm 0.5000 0.5000 0.0000
8 Tm 0.2557 0.7443 0.0000
9 Tm 0.2683 0.2683 0.5084
10 Tm 0.2685 0.2685 0.0298
11 Tm 0.3624 0.6376 0.5000
12 Tm 0.6376 0.3624 0.5000
13 Tm 0.7315 0.7315 0.9702
14 Tm 0.7317 0.7317 0.4916
15 Tm 0.7443 0.2557 0.0000

Most intense lines, 10° ≤ 2θ ≤ 80°, by angle:
d 3.213, 2θ 27.8, I 35
d 2.912, 2θ 30.7, I 100
d 2.896, 2θ 30.9, I 47
d 2.812, 2θ 31.8, I 31
d 2.322, 2θ 38.8, I 13
d 2.158, 2θ 41.9, I 45
d 2.151, 2θ 42.0, I 21
d 1.675, 2θ 54.8, I 17
d 1.456, 2θ 64.0, I 12
d 1.407, 2θ 66.5, I 21